Diffraction record for LiIO3. The PXRD pattern is calculated, not measured: it uses a crystal structure in the Materials Project, relaxed with PBE and copper Kα.
Intensities are scaled so that the largest is 100.

Structural model:
Cell lengths 9.982, 9.982, 6.227 Å; angles 90.00, 90.00, 90.00 degrees
Element x y z (fractional)
Li (0.069, 0.228, 0.099)
Li (0.228, 0.431, 0.401)
Li (0.272, 0.069, 0.401)
Li (0.431, 0.272, 0.099)
Li (0.569, 0.728, 0.901)
Li (0.728, 0.931, 0.599)
Li (0.772, 0.569, 0.599)
Li (0.931, 0.772, 0.901)
I (0.032, 0.739, 0.384)
I (0.239, 0.968, 0.884)
I (0.261, 0.532, 0.884)
I (0.468, 0.761, 0.384)
I (0.532, 0.239, 0.616)
I (0.739, 0.468, 0.116)
I (0.761, 0.032, 0.116)
I (0.968, 0.261, 0.616)
O (0.054, 0.346, 0.836)
O (0.084, 0.296, 0.395)
O (0.119, 0.836, 0.945)
O (0.154, 0.054, 0.664)
O (0.164, 0.619, 0.445)
O (0.204, 0.084, 0.105)
O (0.296, 0.416, 0.105)
O (0.336, 0.881, 0.445)
O (0.346, 0.446, 0.664)
O (0.381, 0.664, 0.945)
O (0.416, 0.204, 0.395)
O (0.446, 0.154, 0.836)
O (0.554, 0.846, 0.164)
O (0.584, 0.796, 0.605)
O (0.619, 0.336, 0.055)
O (0.654, 0.554, 0.336)
O (0.664, 0.119, 0.555)
O (0.704, 0.584, 0.895)
O (0.796, 0.916, 0.895)
O (0.836, 0.381, 0.555)
O (0.846, 0.946, 0.336)
O (0.881, 0.164, 0.055)
O (0.916, 0.704, 0.605)
O (0.946, 0.654, 0.164)

The 12 most intense peaks (15° ≤ 2θ ≤ 90°), in order of falling intensity:
2θ 22.83, rel. 100; 2θ 25.24, rel. 92; 2θ 24.54, rel. 59; 2θ 43.75, rel. 49; 2θ 30.06, rel. 40; 2θ 43.05, rel. 30; 2θ 16.78, rel. 28; 2θ 30.46, rel. 21; 2θ 54.61, rel. 18; 2θ 35.99, rel. 16; 2θ 47.85, rel. 14; 2θ 51.44, rel. 14